[1]
Theoretical PXRD pattern of UTiAs2N for a wavelength of 1.5418 Å, from a structure optimized by DFT (GGA-PBE).

Crystal structure
Lattice parameters (Å, degrees): 3.715 3.715 12.660 90.00 90.00 90.00
Positions (direct):
U  0.250  0.250  0.097
U  0.750  0.750  0.903
Ti  0.250  0.250  0.587
Ti  0.750  0.750  0.413
As  0.250  0.250  0.381
As  0.250  0.250  0.792
As  0.750  0.750  0.208
As  0.750  0.750  0.619
N  0.250  0.750  0.000
N  0.750  0.250  0.000

Largest 12 diffraction maxima, in order of rising 2θ, 10° ≤ 2θ ≤ 90°:
two_theta, I/Imax
24.98, 15
27.84, 34
28.20, 22
32.10, 100
34.13, 90
37.32, 47
44.84, 31
49.04, 36
55.87, 22
56.60, 18
59.82, 36
63.21, 20

[2]
Theoretical PXRD pattern of Ac2TbPu for a wavelength of 1.5418 Å, from a structure optimized by DFT (GGA-PBE).

Crystal structure
Lattice parameters (Å, degrees): 3.783 3.783 10.369 90.00 90.00 90.00
Positions (direct):
Ac  0.000  0.000  0.247
Ac  0.000  0.000  0.753
Tb  0.500  0.500  0.500
Pu  0.500  0.500  0.000

Largest 12 diffraction maxima, in order of rising 2θ, 10° ≤ 2θ ≤ 90°:
two_theta, I/Imax
29.23, 100
33.50, 35
34.60, 17
48.11, 13
48.93, 25
57.29, 31
58.74, 14
60.61, 13
77.99, 7
79.24, 12
80.26, 6
80.88, 6

[3]
Theoretical PXRD pattern of Mg8Bi3Rh2 for a wavelength of 1.5418 Å, from a structure optimized by DFT (GGA-PBE).

Crystal structure
Lattice parameters (Å, degrees): 8.556 8.556 4.708 90.00 90.00 116.89
Positions (direct):
Mg  0.130  0.434  0.500
Mg  0.130  0.870  0.000
Mg  0.319  0.681  0.000
Mg  0.434  0.130  0.500
Mg  0.566  0.870  0.500
Mg  0.681  0.319  0.000
Mg  0.870  0.130  0.000
Mg  0.870  0.566  0.500
Bi  0.000  0.000  0.500
Bi  0.313  0.313  0.000
Bi  0.687  0.687  0.000
Rh  0.220  0.780  0.500
Rh  0.780  0.220  0.500

Largest 12 diffraction maxima, in order of rising 2θ, 10° ≤ 2θ ≤ 90°:
two_theta, I/Imax
12.14, 63
22.19, 84
22.48, 47
24.42, 47
27.49, 45
30.15, 37
30.57, 61
37.09, 100
37.65, 57
38.23, 40
40.29, 35
49.72, 32

[4]
Theoretical PXRD pattern of Pm6Tl3Hg for a wavelength of 1.5418 Å, from a structure optimized by DFT (GGA-PBE).

Crystal structure
Lattice parameters (Å, degrees): 9.602 5.440 11.957 90.00 107.30 90.00
Positions (direct):
Pm  0.034  0.250  0.408
Pm  0.161  0.750  0.178
Pm  0.257  0.250  0.999
Pm  0.350  0.750  0.813
Pm  0.370  0.250  0.344
Pm  0.405  0.250  0.619
Pm  0.595  0.750  0.381
Pm  0.630  0.750  0.656
Pm  0.650  0.250  0.187
Pm  0.743  0.750  0.001
Pm  0.839  0.250  0.822
Pm  0.966  0.750  0.592
Tl  0.032  0.750  0.885
Tl  0.127  0.250  0.715
Tl  0.272  0.750  0.473
Tl  0.728  0.250  0.527
Tl  0.873  0.750  0.285
Tl  0.968  0.250  0.115
Hg  0.454  0.750  0.106
Hg  0.546  0.250  0.894

Largest 12 diffraction maxima, in order of rising 2θ, 10° ≤ 2θ ≤ 90°:
two_theta, I/Imax
27.91, 4
31.62, 21
32.49, 100
32.93, 29
35.77, 6
46.30, 15
46.91, 8
56.87, 9
58.51, 28
68.07, 4
76.98, 4
77.91, 8